Record 1
Calculated X-ray diffraction stick pattern of La4Pm3Dy2 for Cu Kα (λ = 1.5418 Å), from a crystal structure in Alexandria, relaxed with GGA-PBE.
Neutral-atom scattering factors, no anomalous dispersion.

Principal peaks in the range 2θ from 15° to 90°, low angle first:
hkl, d (Å), Rel. int.
0 0 4, 3.316, 16
1 1 2, 2.973, 100
1 1 -3, 2.963, 31
4 0 0, 2.944, 56
4 0 -4, 2.914, 28
3 1 -2, 2.813, 58
3 1 -3, 2.688, 38
0 0 5, 2.653, 20
0 2 0, 1.861, 19
4 2 0, 1.573, 17

```
data_La4Pm3Dy2
_space_group_name_H-M_alt 'C 1 2/m 1'
_space_group_IT_number 12
_space_group_name_Hall '-C 2y'
_cell_length_a 13.0612
_cell_length_b 3.7227
_cell_length_c 14.7094
_cell_angle_alpha 90.00
_cell_angle_beta 115.59
_cell_angle_gamma 90.00
loop_
_atom_site_label
_atom_site_type_symbol
_atom_site_fract_x
_atom_site_fract_y
_atom_site_fract_z
La1 La 0.2173 0.0000 0.1049
La2 La 0.2210 0.5000 0.3723
Pm1 Pm 0.0000 0.5000 0.5000
Pm2 Pm 0.0032 0.5000 0.8848
Dy1 Dy 0.0518 0.0000 0.7099
```



Record 2
Calculated X-ray diffraction stick pattern of AcInGeSb for Cu Kα (λ = 1.5418 Å), from a crystal structure in Alexandria, relaxed with GGA-PBE.
Neutral-atom scattering factors, no anomalous dispersion.

Principal peaks in the range 2θ from 15° to 90°, low angle first:
hkl, d (Å), Rel. int.
1 1 1, 4.461, 9
2 0 0, 3.863, 9
2 2 0, 2.731, 100
3 1 1, 2.329, 5
4 0 0, 1.931, 18
4 2 0, 1.728, 4
4 2 2, 1.577, 38
4 4 0, 1.366, 12
6 2 0, 1.222, 16
4 4 4, 1.115, 4

```
data_AcInGeSb
_space_group_name_H-M_alt 'F -4 3 m'
_space_group_IT_number 216
_space_group_name_Hall 'F -4 2 3'
_cell_length_a 7.7258
_cell_length_b 7.7258
_cell_length_c 7.7258
_cell_angle_alpha 90.00
_cell_angle_beta 90.00
_cell_angle_gamma 90.00
loop_
_atom_site_label
_atom_site_type_symbol
_atom_site_fract_x
_atom_site_fract_y
_atom_site_fract_z
Ac1 Ac 0.0000 0.0000 0.0000
In1 In 0.2500 0.2500 0.2500
Ge1 Ge 0.2500 0.2500 0.7500
Sb1 Sb 0.0000 0.0000 0.5000
```



Record 3
Calculated X-ray diffraction stick pattern of Cd2RhAu2 for Cu Kα (λ = 1.5418 Å), from a crystal structure in Alexandria, relaxed with GGA-PBE.
Neutral-atom scattering factors, no anomalous dispersion.

Principal peaks in the range 2θ from 15° to 90°, low angle first:
hkl, d (Å), Rel. int.
1 3 0, 3.130, 19
0 2 1, 2.825, 21
1 5 0, 2.461, 100
1 1 1, 2.357, 75
1 3 1, 2.174, 27
0 6 1, 1.994, 47
2 0 0, 1.938, 28
2 6 1, 1.390, 29
1 5 2, 1.287, 26
1 11 1, 1.237, 24

```
data_Cd2RhAu2
_space_group_name_H-M_alt 'C m m m'
_space_group_IT_number 65
_space_group_name_Hall '-C 2 2'
_cell_length_a 3.8757
_cell_length_b 15.9250
_cell_length_c 3.0211
_cell_angle_alpha 90.00
_cell_angle_beta 90.00
_cell_angle_gamma 90.00
loop_
_atom_site_label
_atom_site_type_symbol
_atom_site_fract_x
_atom_site_fract_y
_atom_site_fract_z
Cd1 Cd 0.0000 0.0927 0.0000
Rh1 Rh 0.0000 0.5000 0.5000
Au1 Au 0.0000 0.3133 0.5000
```



Record 4
Calculated X-ray diffraction stick pattern of Sn2TePbSe2 for Cu Kα (λ = 1.5418 Å), from a crystal structure in Alexandria, relaxed with GGA-PBE.
Neutral-atom scattering factors, no anomalous dispersion.

Principal peaks in the range 2θ from 15° to 90°, low angle first:
hkl, d (Å), Rel. int.
3 1 1, 3.656, 16
0 0 2, 3.195, 100
6 0 0, 3.111, 50
0 2 2, 2.259, 36
6 0 2, 2.229, 74
6 2 2, 1.828, 38
12 0 2, 1.398, 17
6 4 2, 1.299, 10
6 2 4, 1.297, 10
12 2 2, 1.281, 12

```
data_Sn2TePbSe2
_space_group_name_H-M_alt 'C m c 21'
_space_group_IT_number 36
_space_group_name_Hall 'C 2c -2'
_cell_length_a 18.6640
_cell_length_b 6.3987
_cell_length_c 6.3810
_cell_angle_alpha 90.00
_cell_angle_beta 90.00
_cell_angle_gamma 90.00
loop_
_atom_site_label
_atom_site_type_symbol
_atom_site_fract_x
_atom_site_fract_y
_atom_site_fract_z
Sn1 Sn 0.1705 0.2191 0.0000
Te1 Te 0.0000 0.2517 0.0384
Pb1 Pb 0.0000 0.2501 0.5312
Se1 Se 0.1679 0.2203 0.5529
```



Record 5
Calculated X-ray diffraction stick pattern of Pa4Tc3Sb8 for Cu Kα (λ = 1.5418 Å), from a crystal structure in Alexandria, relaxed with GGA-PBE.
Neutral-atom scattering factors, no anomalous dispersion.

Principal peaks in the range 2θ from 15° to 90°, low angle first:
hkl, d (Å), Rel. int.
1 0 2, 4.018, 20
0 0 6, 3.033, 13
1 1 2, 2.990, 15
1 1 4, 2.599, 100
1 0 6, 2.511, 18
2 0 0, 2.239, 45
2 0 6, 1.801, 12
2 1 6, 1.671, 11
2 2 0, 1.583, 15
3 1 4, 1.352, 26

```
data_Pa4Tc3Sb8
_space_group_name_H-M_alt 'P -4 m 2'
_space_group_IT_number 115
_space_group_name_Hall 'P -4 -2'
_cell_length_a 4.4775
_cell_length_b 4.4775
_cell_length_c 18.2003
_cell_angle_alpha 90.00
_cell_angle_beta 90.00
_cell_angle_gamma 90.00
loop_
_atom_site_label
_atom_site_type_symbol
_atom_site_fract_x
_atom_site_fract_y
_atom_site_fract_z
Pa1 Pa 0.0000 0.5000 0.1099
Pa2 Pa 0.0000 0.5000 0.6132
Tc1 Tc 0.0000 0.0000 0.0000
Tc2 Tc 0.0000 0.0000 0.5000
Tc3 Tc 0.5000 0.5000 0.5000
Sb1 Sb 0.0000 0.0000 0.2461
Sb2 Sb 0.0000 0.5000 0.4153
Sb3 Sb 0.0000 0.5000 0.9227
Sb4 Sb 0.5000 0.5000 0.2452
```



Record 6
Calculated X-ray diffraction stick pattern of H16Ru3C6Cl6O14 for Cu Kα (λ = 1.5418 Å), from a crystal structure in Alexandria, relaxed with GGA-PBE.
Neutral-atom scattering factors, no anomalous dispersion.

Principal peaks in the range 2θ from 15° to 90°, low angle first:
hkl, d (Å), Rel. int.
1 -1 0, 5.897, 37
0 1 1, 5.695, 48
-1 1 1, 5.594, 23
1 0 1, 5.290, 100
1 0 -2, 5.205, 28
0 0 3, 5.000, 35
-1 1 4, 3.248, 24
1 -2 3, 2.979, 28
1 2 -3, 2.380, 22
3 -2 3, 1.935, 21

```
data_H16Ru3C6Cl6O14
_space_group_name_H-M_alt 'P -1'
_space_group_IT_number 2
_space_group_name_Hall '-P 1'
_cell_length_a 6.7965
_cell_length_b 7.2484
_cell_length_c 15.2939
_cell_angle_alpha 93.69
_cell_angle_beta 98.03
_cell_angle_gamma 114.90
loop_
_atom_site_label
_atom_site_type_symbol
_atom_site_fract_x
_atom_site_fract_y
_atom_site_fract_z
H1 H 0.0160 0.0154 0.3267
H2 H 0.1333 0.5830 0.6342
H3 H 0.2219 0.1571 0.6726
H4 H 0.2383 0.3505 0.4373
H5 H 0.2402 0.8270 0.4292
H6 H 0.2484 0.4132 0.5386
H7 H 0.2497 0.7987 0.5314
H8 H 0.3934 0.6881 0.6472
Ru1 Ru 0.0000 0.0000 0.5000
Ru2 Ru 0.2280 0.3902 0.1838
C1 C 0.0823 0.7741 0.8374
C2 C 0.1946 0.6004 0.1251
C3 C 0.2628 0.2656 0.0785
Cl1 Cl 0.2002 0.5441 0.3286
Cl2 Cl 0.2885 0.1274 0.2633
Cl3 Cl 0.3746 0.4041 0.7862
O1 O 0.1080 0.0241 0.6399
O2 O 0.1736 0.7225 0.0848
O3 O 0.2414 0.8930 0.4875
O4 O 0.2462 0.3015 0.4958
O5 O 0.2571 0.6235 0.6013
O6 O 0.2708 0.8730 0.8510
O7 O 0.2857 0.1926 0.0136
```



Record 7
Calculated X-ray diffraction stick pattern of Hf2Ga4Co3 for Cu Kα (λ = 1.5418 Å), from a crystal structure in Alexandria, relaxed with GGA-PBE.
Neutral-atom scattering factors, no anomalous dispersion.

Principal peaks in the range 2θ from 15° to 90°, low angle first:
hkl, d (Å), Rel. int.
1 1 1, 4.117, 22
2 0 0, 2.533, 42
0 2 4, 2.484, 26
1 3 1, 2.465, 54
2 2 0, 2.189, 26
1 3 3, 2.135, 100
1 1 5, 2.118, 49
2 0 4, 1.942, 37
0 6 0, 1.449, 27
3 3 3, 1.372, 23

```
data_Hf2Ga4Co3
_space_group_name_H-M_alt 'F m m m'
_space_group_IT_number 69
_space_group_name_Hall '-F 2 2'
_cell_length_a 5.0659
_cell_length_b 8.7022
_cell_length_c 12.0986
_cell_angle_alpha 90.00
_cell_angle_beta 90.00
_cell_angle_gamma 90.00
loop_
_atom_site_label
_atom_site_type_symbol
_atom_site_fract_x
_atom_site_fract_y
_atom_site_fract_z
Hf1 Hf 0.0000 0.0000 0.1202
Ga1 Ga 0.0000 0.1638 0.3362
Co1 Co 0.0000 0.0000 0.5000
Co2 Co 0.2500 0.2500 0.0000
```



Record 8
Calculated X-ray diffraction stick pattern of Cs2Nb4O7 for Cu Kα (λ = 1.5418 Å), from a crystal structure in Alexandria, relaxed with GGA-PBE.
Neutral-atom scattering factors, no anomalous dispersion.

Principal peaks in the range 2θ from 15° to 90°, low angle first:
hkl, d (Å), Rel. int.
0 0 2, 3.887, 14
1 0 2, 2.976, 89
1 1 0, 2.671, 100
1 1 2, 2.201, 38
2 0 2, 1.987, 32
2 1 2, 1.594, 29
2 -1 4, 1.571, 28
3 0 0, 1.542, 26
2 2 0, 1.335, 12
3 0 4, 1.208, 12

```
data_Cs2Nb4O7
_space_group_name_H-M_alt 'P -3 1 m'
_space_group_IT_number 162
_space_group_name_Hall '-P 3 2'
_cell_length_a 5.3410
_cell_length_b 5.3410
_cell_length_c 7.7735
_cell_angle_alpha 90.00
_cell_angle_beta 90.00
_cell_angle_gamma 120.00
loop_
_atom_site_label
_atom_site_type_symbol
_atom_site_fract_x
_atom_site_fract_y
_atom_site_fract_z
Cs1 Cs 0.3333 0.6667 0.0000
Nb1 Nb 0.0000 0.0000 0.3020
Nb2 Nb 0.3333 0.6667 0.5000
O1 O 0.0000 0.0000 0.0000
O2 O 0.0000 0.3691 0.3096
```